For Y2Ga12Au, DFT lattice parameters and positions (GGA-PBE) gives the computed PXRD pattern in this record (Cu Kα, 1.54184 Å).

Atomic structure:
```
Y2Ga12Au
1.0
6.207 0.000 0.000
0.000 6.207 0.000
0.000 0.000 15.327
Y Ga Au
4 24 2
direct
0.250 0.750 0.249
0.250 0.750 0.751
0.750 0.250 0.249
0.750 0.250 0.751
0.000 0.000 0.095
0.000 0.000 0.905
0.000 0.500 0.095
0.000 0.500 0.905
0.084 0.584 0.431
0.084 0.916 0.569
0.250 0.250 0.188
0.250 0.250 0.348
0.250 0.250 0.652
0.250 0.250 0.812
0.416 0.584 0.569
0.416 0.916 0.431
0.500 0.000 0.095
0.500 0.000 0.905
0.500 0.500 0.095
0.500 0.500 0.905
0.584 0.084 0.569
0.584 0.416 0.431
0.750 0.750 0.188
0.750 0.750 0.348
0.750 0.750 0.652
0.750 0.750 0.812
0.916 0.084 0.431
0.916 0.416 0.569
0.250 0.750 0.000
0.750 0.250 0.000
```

Main lines, in order of rising 2θ (10° ≤ 2θ ≤ 90°):
2θ 23.36, I = 37; 2θ 30.98, I = 91; 2θ 31.09, I = 46; 2θ 37.29, I = 63; 2θ 41.14, I = 100; 2θ 41.40, I = 52; 2θ 46.02, I = 54; 2θ 52.37, I = 48

For Y7Ga2Au2, DFT lattice parameters and positions (GGA-PBE) gives the computed PXRD pattern in this record (Cu Kα, 1.54184 Å).

Atomic structure:
```
Y7Ga2Au2
1.0
3.915 -5.508 0.000
3.915 5.508 0.000
0.000 0.000 7.269
Y Ga Au
7 2 2
direct
0.000 0.000 0.000
0.000 0.500 0.275
0.000 0.500 0.725
0.500 0.000 0.275
0.500 0.000 0.725
0.500 0.500 0.263
0.500 0.500 0.737
0.167 0.167 0.500
0.833 0.833 0.500
0.293 0.707 0.000
0.707 0.293 0.000
```

Main lines, in order of rising 2θ (10° ≤ 2θ ≤ 90°):
2θ 12.18, I = 33; 2θ 20.23, I = 39; 2θ 25.85, I = 65; 2θ 29.55, I = 26; 2θ 32.51, I = 47; 2θ 33.65, I = 30; 2θ 36.63, I = 57; 2θ 37.51, I = 100

For Y2Ga7Au12, DFT lattice parameters and positions (GGA-PBE) gives the computed PXRD pattern in this record (Cu Kα, 1.54184 Å).

Atomic structure:
```
Y2Ga7Au12
1.0
10.657 0.000 0.000
-5.329 9.229 0.000
0.000 0.000 4.104
Y Ga Au
2 7 12
direct
0.333 0.667 0.244
0.667 0.333 0.756
0.000 0.000 0.500
0.105 0.701 0.731
0.299 0.403 0.731
0.403 0.105 0.269
0.597 0.895 0.731
0.701 0.597 0.269
0.895 0.299 0.269
0.085 0.454 0.759
0.127 0.259 0.226
0.132 0.873 0.226
0.259 0.132 0.774
0.370 0.915 0.759
0.454 0.370 0.241
0.546 0.630 0.759
0.630 0.085 0.241
0.741 0.868 0.226
0.868 0.127 0.774
0.873 0.741 0.774
0.915 0.546 0.241
```

Main lines, in order of rising 2θ (10° ≤ 2θ ≤ 90°):
2θ 16.64, I = 10; 2θ 33.72, I = 100; 2θ 41.58, I = 13; 2θ 42.70, I = 22; 2θ 44.14, I = 17; 2θ 45.04, I = 30; 2θ 63.09, I = 10; 2θ 75.78, I = 13

For Y4Ga16Au3, DFT lattice parameters and positions (GGA-PBE) gives the computed PXRD pattern in this record (Cu Kα, 1.54184 Å).

Atomic structure:
```
Y4Ga16Au3
1.0
6.378 0.000 0.000
0.000 6.378 0.000
0.000 0.000 11.086
Y Ga Au
4 16 3
direct
0.000 0.500 0.187
0.000 0.500 0.813
0.500 0.000 0.187
0.500 0.000 0.813
0.000 0.000 0.203
0.000 0.000 0.797
0.206 0.206 0.000
0.206 0.794 0.000
0.242 0.242 0.371
0.242 0.242 0.629
0.242 0.758 0.371
0.242 0.758 0.629
0.500 0.500 0.240
0.500 0.500 0.760
0.758 0.242 0.371
0.758 0.242 0.629
0.758 0.758 0.371
0.758 0.758 0.629
0.794 0.206 0.000
0.794 0.794 0.000
0.000 0.500 0.500
0.500 0.000 0.500
0.500 0.500 0.000
```

Main lines, in order of rising 2θ (10° ≤ 2θ ≤ 90°):
2θ 21.27, I = 59; 2θ 31.30, I = 61; 2θ 37.24, I = 96; 2θ 39.98, I = 100; 2θ 43.26, I = 48; 2θ 51.63, I = 21; 2θ 57.83, I = 27; 2θ 70.82, I = 22